# 1
This entry pairs a crystal structure of Rb2ZnGeCl6 with its theoretical powder diffraction line list. Radiation: Cu Kα. Structure: a structure optimized by DFT (GGA-PBE).
Intensities are scaled so that the largest is 1000.

Atomic structure:
Cell lengths 8.7917, 8.7917, 8.7917 Å; angles 50.60, 50.60, 50.60 degrees
Sites, in units of the cell vectors:
Rb 0.0000 0.0000 0.0000
Rb 0.4935 0.4935 0.4935
Zn 0.2338 0.2338 0.2338
Ge 0.7805 0.7805 0.7805
Cl 0.0256 0.6709 0.4880
Cl 0.1782 0.5443 0.9653
Cl 0.4880 0.0256 0.6709
Cl 0.5443 0.9653 0.1782
Cl 0.6709 0.4880 0.0256
Cl 0.9653 0.1782 0.5443

Principal peaks in the range 10 to 90 degrees two-theta, by angle:
- 2θ 20.64, I 1000
- 2θ 23.69, I 430
- 2θ 26.43, I 297
- 2θ 31.62, I 313
- 2θ 39.88, I 239
- 2θ 41.64, I 348


# 2
This entry pairs a crystal structure of GeSCl2 with its theoretical powder diffraction line list. Radiation: Cu Kα. Structure: a structure optimized by DFT (GGA-PBE).
Intensities are scaled so that the largest is 1000.

Atomic structure:
Cell lengths 6.4190, 5.5062, 17.7656 Å; angles 90.00, 111.15, 90.00 degrees
Sites, in units of the cell vectors:
Ge 0.0683 0.0016 0.3182
Ge 0.0683 0.4984 0.8182
Ge 0.9317 0.5016 0.1818
Ge 0.9317 0.9984 0.6818
S 0.2101 0.2484 0.7500
S 0.2101 0.2516 0.2500
S 0.7899 0.7484 0.7500
S 0.7899 0.7516 0.2500
Cl 0.0752 0.6923 0.1064
Cl 0.0752 0.8077 0.6064
Cl 0.3623 0.6895 0.8934
Cl 0.3623 0.8105 0.3934
Cl 0.6377 0.1895 0.6066
Cl 0.6377 0.3105 0.1066
Cl 0.9248 0.1923 0.3936
Cl 0.9248 0.3077 0.8936

Principal peaks in the range 10 to 90 degrees two-theta, by angle:
- 2θ 10.68, I 625
- 2θ 14.80, I 1000
- 2θ 22.81, I 338
- 2θ 23.85, I 332
- 2θ 26.75, I 582
- 2θ 43.26, I 346


# 3
This entry pairs a crystal structure of GeSeCl2 with its theoretical powder diffraction line list. Radiation: Cu Kα. Structure: a structure optimized by DFT (GGA-PBE).
Intensities are scaled so that the largest is 1000.

Atomic structure:
Cell lengths 6.4544, 5.7313, 16.5444 Å; angles 90.00, 90.00, 90.00 degrees
Sites, in units of the cell vectors:
Ge 0.2500 0.0000 0.1786
Ge 0.2500 0.5000 0.3214
Ge 0.7500 0.0000 0.8214
Ge 0.7500 0.5000 0.6786
Se 0.0195 0.2500 0.2500
Se 0.4805 0.7500 0.2500
Se 0.5195 0.2500 0.7500
Se 0.9805 0.7500 0.7500
Cl 0.0360 0.6900 0.3974
Cl 0.0360 0.8100 0.1026
Cl 0.4640 0.1900 0.1026
Cl 0.4640 0.3100 0.3974
Cl 0.5360 0.6900 0.6026
Cl 0.5360 0.8100 0.8974
Cl 0.9640 0.1900 0.8974
Cl 0.9640 0.3100 0.6026

Principal peaks in the range 10 to 90 degrees two-theta, by angle:
- 2θ 10.69, I 1000
- 2θ 14.73, I 699
- 2θ 22.37, I 235
- 2θ 23.38, I 256
- 2θ 26.34, I 917
- 2θ 42.17, I 329


# 4
This entry pairs a crystal structure of Sm4Ge2SeCl with its theoretical powder diffraction line list. Radiation: Cu Kα. Structure: a structure optimized by DFT (GGA-PBE).
Intensities are scaled so that the largest is 1000.

Atomic structure:
Cell lengths 7.2225, 7.2225, 7.2225 Å; angles 131.57, 131.57, 70.91 degrees
Sites, in units of the cell vectors:
Sm 0.0000 0.5000 0.5000
Sm 0.2467 0.2467 0.0000
Sm 0.5000 0.0000 0.5000
Sm 0.7533 0.7533 0.0000
Ge 0.2500 0.7500 0.5000
Ge 0.7500 0.2500 0.5000
Se 0.0000 0.0000 0.0000
Cl 0.5000 0.5000 0.0000

Principal peaks in the range 10 to 90 degrees two-theta, by angle:
- 2θ 26.11, I 416
- 2θ 30.17, I 1000
- 2θ 30.39, I 490
- 2θ 43.19, I 372
- 2θ 43.35, I 735
- 2θ 53.72, I 389


# 5
This entry pairs a crystal structure of Tc2GeSeCl with its theoretical powder diffraction line list. Radiation: Cu Kα. Structure: a structure optimized by DFT (GGA-PBE).
Intensities are scaled so that the largest is 1000.

Atomic structure:
Cell lengths 4.6834, 4.6834, 5.4006 Å; angles 90.00, 90.00, 90.00 degrees
Sites, in units of the cell vectors:
Tc 0.0000 0.5000 0.0000
Tc 0.5000 0.0000 0.0000
Ge 0.0000 0.0000 0.5000
Se 0.0000 0.0000 0.0000
Cl 0.5000 0.5000 0.5000

Principal peaks in the range 10 to 90 degrees two-theta, by angle:
- 2θ 16.41, I 660
- 2θ 18.95, I 453
- 2θ 31.69, I 1000
- 2θ 33.18, I 624
- 2θ 38.45, I 980
- 2θ 51.67, I 684


# 6
This entry pairs a crystal structure of TlGeSeCl with its theoretical powder diffraction line list. Radiation: Cu Kα. Structure: a structure optimized by DFT (GGA-PBE).
Intensities are scaled so that the largest is 1000.

Atomic structure:
Cell lengths 4.0298, 4.0298, 8.0855 Å; angles 90.00, 90.00, 120.00 degrees
Sites, in units of the cell vectors:
Tl 0.0000 0.0000 0.0000
Ge 0.0000 0.0000 0.5092
Se 0.3333 0.6667 0.6778
Cl 0.6667 0.3333 0.2469

Principal peaks in the range 10 to 90 degrees two-theta, by angle:
- 2θ 25.52, I 477
- 2θ 27.84, I 479
- 2θ 33.93, I 1000
- 2θ 44.99, I 331
- 2θ 52.30, I 228
- 2θ 57.53, I 219


# 7
This entry pairs a crystal structure of SnGeCl5 with its theoretical powder diffraction line list. Radiation: Cu Kα. Structure: a structure optimized by DFT (GGA-PBE).
Intensities are scaled so that the largest is 1000.

Atomic structure:
Cell lengths 7.1522, 7.1522, 7.1522 Å; angles 104.21, 92.01, 136.01 degrees
Sites, in units of the cell vectors:
Sn 0.0000 0.0000 0.0000
Ge 0.3835 0.8835 0.5000
Cl 0.0902 0.8392 0.2510
Cl 0.3482 0.1513 0.8031
Cl 0.3482 0.5450 0.1969
Cl 0.5882 0.8392 0.7490
Cl 0.8027 0.3027 0.5000

Principal peaks in the range 10 to 90 degrees two-theta, by angle:
- 2θ 17.85, I 843
- 2θ 19.41, I 1000
- 2θ 20.21, I 722
- 2θ 26.49, I 400
- 2θ 34.92, I 418
- 2θ 36.18, I 611


# 8
This entry pairs a crystal structure of Sn2GeCl6 with its theoretical powder diffraction line list. Radiation: Cu Kα. Structure: a structure optimized by DFT (GGA-PBE).
Intensities are scaled so that the largest is 1000.

Atomic structure:
Cell lengths 7.1454, 6.6630, 13.9764 Å; angles 90.00, 119.64, 90.00 degrees
Sites, in units of the cell vectors:
Sn 0.1812 0.0035 0.1800
Sn 0.1812 0.4965 0.6800
Sn 0.8188 0.5035 0.3200
Sn 0.8188 0.9965 0.8200
Ge 0.5000 0.0000 0.0000
Ge 0.5000 0.5000 0.5000
Cl 0.1559 0.7115 0.4769
Cl 0.1559 0.7885 0.9769
Cl 0.2143 0.2251 0.8308
Cl 0.2143 0.2749 0.3308
Cl 0.4405 0.2354 0.1403
Cl 0.4405 0.2646 0.6403
Cl 0.5595 0.7354 0.3597
Cl 0.5595 0.7646 0.8597
Cl 0.7857 0.7251 0.6692
Cl 0.7857 0.7749 0.1692
Cl 0.8441 0.2115 0.0231
Cl 0.8441 0.2885 0.5231

Principal peaks in the range 10 to 90 degrees two-theta, by angle:
- 2θ 15.17, I 1000
- 2θ 18.21, I 396
- 2θ 23.56, I 403
- 2θ 36.89, I 430
- 2θ 36.99, I 400
- 2θ 37.29, I 433